Starting from a structure optimized by DFT (GGA-PBE), the X-ray diffraction stick pattern of Pa3Te8 was computed for Cu Kα (λ = 1.5418 Å).
Lines closer than 0.1° are merged.

Structure:
Cell lengths 7.2867, 7.2867, 7.2867 Å; angles 90.00, 90.00, 90.00 degrees
Positions (direct):
Pa 0.0000 0.0000 0.5000
Pa 0.0000 0.5000 0.0000
Pa 0.5000 0.0000 0.0000
Te 0.2467 0.2467 0.2467
Te 0.2467 0.2467 0.7533
Te 0.2467 0.7533 0.2467
Te 0.2467 0.7533 0.7533
Te 0.7533 0.2467 0.2467
Te 0.7533 0.2467 0.7533
Te 0.7533 0.7533 0.2467
Te 0.7533 0.7533 0.7533

Most intense lines, 5° ≤ 2θ ≤ 70°, in order of rising 2θ:
(1 0 0), 12.1°, d = 7.287 Å, I = 13
(1 1 0), 17.2°, d = 5.152 Å, I = 10
(1 1 1), 21.1°, d = 4.207 Å, I = 38
(2 2 0), 34.8°, d = 2.576 Å, I = 100
(3 1 1), 41.1°, d = 2.197 Å, I = 21
(4 0 0), 50.1°, d = 1.822 Å, I = 18
(3 3 1), 54.9°, d = 1.672 Å, I = 9
(4 2 2), 62.4°, d = 1.487 Å, I = 37